Diffraction record for Sb3AsS6. The X-ray powder pattern is theoretical, not measured: it uses the GGA-PBE geometry in the Materials Project and Cu Kα (weighted mean of Kα1 and Kα2).

Principal peaks in the range 10 to 90 degrees two-theta, sorted by position:
(0 1 2), 16.74 deg, I 61; (0 1 3), 23.57 deg, I 44; (0 3 1), 25.07 deg, I 39; (1 2 1), 29.40 deg, I 57; (1 2 2), 32.15 deg, I 100; (1 3 0), 33.73 deg, I 29; (0 2 4), 33.85 deg, I 37; (1 4 3), 46.30 deg, I 24; (2 0 0), 47.88 deg, I 28; (1 0 6), 51.51 deg, I 34

Unit cell a=3.800 b=11.152 c=12.037 alpha=90.00 beta=90.00 gamma=90.00
Space group Pmc2_1 (No. 26)
Inequivalent atoms, fractional coordinates:
Sb  0.000  0.085  0.000 x2
Sb  0.000  0.285  0.676 x2
Sb  0.500  0.222  0.394 x2
As  0.500  0.431  0.085 x2
S  0.000  0.063  0.337 x2
S  0.000  0.316  0.154 x2
S  0.000  0.383  0.491 x2
S  0.500  0.131  0.582 x2
S  0.500  0.200  0.910 x2
S  0.500  0.446  0.738 x2


Diffraction record for PbI2. The X-ray powder pattern is theoretical, not measured: it uses the GGA-PBE geometry in the Materials Project and Cu Kα (weighted mean of Kα1 and Kα2).

Principal peaks in the range 10 to 90 degrees two-theta, sorted by position:
(0 0 6), 11.84 deg, I 100; (1 0 4), 23.45 deg, I 32; (0 1 5), 24.21 deg, I 68; (1 0 7), 26.12 deg, I 55; (0 1 8), 27.25 deg, I 81; (1 0 10), 29.81 deg, I 89; (0 1 14), 35.81 deg, I 54; (1 1 0), 38.69 deg, I 93; (1 1 6), 40.60 deg, I 32; (1 1 24), 63.90 deg, I 43

Unit cell a=4.6542 b=4.6542 c=44.8357 alpha=90.00 beta=90.00 gamma=120.00
Space group R-3m (No. 166, hexagonal axes)
Inequivalent atoms, fractional coordinates:
Pb  0.0000  0.0000  0.0000 x3
Pb  0.0000  0.0000  0.5000 x3
I  0.0000  0.0000  0.1247 x6
I  0.0000  0.0000  0.2915 x6


Diffraction record for GePb2Se4O12. The X-ray powder pattern is theoretical, not measured: it uses the GGA-PBE geometry in the Materials Project and Cu Kα (weighted mean of Kα1 and Kα2).

Principal peaks in the range 10 to 90 degrees two-theta, sorted by position:
(1 1 -2), 24.17 deg, I 28; (1 1 2), 25.87 deg, I 62; (0 2 0), 26.33 deg, I 49; (1 2 0), 28.14 deg, I 29; (2 0 2), 28.80 deg, I 23; (2 1 -2), 28.90 deg, I 100; (3 1 0), 32.37 deg, I 29; (3 2 0), 39.93 deg, I 25; (0 1 4), 40.58 deg, I 21; (3 1 4), 53.67 deg, I 25

Unit cell a=9.150 b=6.768 c=9.477 alpha=90.00 beta=96.47 gamma=90.00
Space group P2_1/c (No. 14)
Inequivalent atoms, fractional coordinates:
Ge  0.000  0.000  0.000 x2
Pb  0.463  0.237  0.096 x4
Se  0.160  0.188  0.294 x4
Se  0.238  0.687  0.131 x4
O  0.033  0.119  0.823 x4
O  0.129  0.193  0.107 x4
O  0.168  0.669  0.483 x4
O  0.324  0.191  0.813 x4
O  0.347  0.639  0.725 x4
O  0.371  0.561  0.048 x4


Diffraction record for I. The X-ray powder pattern is theoretical, not measured: it uses the GGA-PBE geometry in the Materials Project and Cu Kα (weighted mean of Kα1 and Kα2).

Principal peaks in the range 10 to 90 degrees two-theta, sorted by position:
(2 0 0), 19.42 deg, I 90; (1 1 1), 23.45 deg, I 35; (1 1 2), 28.30 deg, I 100; (0 0 4), 36.54 deg, I 28; (4 0 0), 39.43 deg, I 14; (3 1 2), 39.94 deg, I 39; (2 0 4), 41.72 deg, I 24; (2 2 1), 45.08 deg, I 21; (4 0 4), 54.85 deg, I 14; (6 0 0), 60.84 deg, I 15

Unit cell a=9.141 b=4.603 c=9.832 alpha=90.00 beta=90.00 gamma=90.00
Space group Cmce (No. 64)
Inequivalent atoms, fractional coordinates:
I  0.000  0.159  0.122 x8


Diffraction record for YSeO3F. The X-ray powder pattern is theoretical, not measured: it uses the GGA-PBE geometry in the Materials Project and Cu Kα (weighted mean of Kα1 and Kα2).

Principal peaks in the range 10 to 90 degrees two-theta, sorted by position:
(0 0 2), 24.67 deg, I 52; (0 2 1), 28.33 deg, I 100; (2 1 0), 29.94 deg, I 65; (2 1 -1), 30.81 deg, I 31; (2 1 1), 34.04 deg, I 28; (1 1 -3), 40.03 deg, I 14; (2 3 0), 47.72 deg, I 17; (1 2 3), 49.63 deg, I 20; (2 3 1), 50.60 deg, I 18; (0 4 0), 52.20 deg, I 19

Unit cell a=6.676 b=7.004 c=7.301 alpha=90.00 beta=98.71 gamma=90.00
Space group P2_1/c (No. 14)
Inequivalent atoms, fractional coordinates:
Y  0.141  0.140  0.324 x4
Se  0.350  0.619  0.289 x4
O  0.174  0.031  0.649 x4
O  0.175  0.695  0.780 x4
O  0.487  0.186  0.360 x4
F  0.168  0.118  0.025 x4


Diffraction record for Ta2TcMo. The X-ray powder pattern is theoretical, not measured: it uses the GGA-PBE geometry in the Materials Project and Cu Kα (weighted mean of Kα1 and Kα2).

Principal peaks in the range 10 to 90 degrees two-theta, sorted by position:
(2 0 0), 27.78 deg, I 10; (2 2 0), 39.69 deg, I 100; (2 2 2), 49.13 deg, I 3; (4 0 0), 57.38 deg, I 17; (4 2 0), 64.92 deg, I 4; (4 2 2), 72.02 deg, I 34; (4 4 0), 85.51 deg, I 11

Unit cell a=6.424 b=6.424 c=6.424 alpha=90.00 beta=90.00 gamma=90.00
Space group Fm-3m (No. 225)
Inequivalent atoms, fractional coordinates:
Ta  0.250  0.250  0.250 x8
Tc  0.000  0.000  0.000 x4
Mo  0.000  0.000  0.500 x4